1.
Starting from the PBE+U geometry in the Materials Project, the PXRD pattern of Li2MnVP3O12 was simulated for λ = 1.5418 Å (Cu Kα).

Structural model:
```
Li2MnVP3O12
1.0
8.2870 0.0000 0.0000
-4.0403 7.3604 0.0000
-3.8367 -2.1312 7.5799
Li Mn V P O
4 2 2 6 24
direct
0.0000 0.0000 0.0000
0.0878 0.5668 0.1774
0.2298 0.4400 0.5258
0.4460 0.0330 0.2838
0.3630 0.8737 0.5842
0.7808 0.5727 0.7123
0.3770 0.3784 0.0901
0.7542 0.0635 0.1873
0.2667 0.1771 0.3939
0.2792 0.9809 0.8977
0.5604 0.7437 0.3879
0.5679 0.6890 0.8891
0.8379 0.4512 0.3863
0.8594 0.2645 0.8933
0.0522 0.5551 0.3899
0.0550 0.2466 0.9515
0.0616 0.1779 0.3455
0.0654 0.8622 0.8888
0.2339 0.9826 0.4138
0.2665 0.9339 0.7235
0.3048 0.1875 0.2317
0.3535 0.1963 0.9453
0.3783 0.5473 0.2477
0.4185 0.5592 0.9542
0.4227 0.6962 0.7054
0.4299 0.8246 0.4010
0.4412 0.3458 0.5538
0.4431 0.9547 0.0536
0.6716 0.1192 0.7226
0.6804 0.4953 0.2448
0.6928 0.6081 0.8742
0.6982 0.8784 0.3142
0.6994 0.7286 0.5627
0.7378 0.8918 0.0172
0.7444 0.2329 0.3382
0.8103 0.2382 0.0526
0.8720 0.5053 0.5705
0.9290 0.4727 0.8971
```

Top 6 peaks for 2θ = 5–70°, by intensity:
2θ 14.65, d 6.045, I 100; 2θ 24.06, d 3.698, I 86; 2θ 14.09, d 6.287, I 64; 2θ 23.42, d 3.798, I 60; 2θ 19.75, d 4.495, I 54; 2θ 20.42, d 4.349, I 52

=====

2.
Starting from the PBE+U geometry in the Materials Project, the PXRD pattern of CrH12Cl3O6 was simulated for λ = 1.5418 Å (Cu Kα).

Structural model:
```
CrH12Cl3O6
1.0
6.0742 3.5070 3.9563
-6.0742 3.5070 3.9563
0.0000 -7.0139 3.9563
Cr H Cl O
2 24 6 12
direct
0.0000 0.0000 0.0000
0.5000 0.5000 0.5000
0.0413 0.7371 0.7790
0.0917 0.2956 0.8861
0.1139 0.9083 0.7044
0.2044 0.4083 0.6139
0.2210 0.9587 0.2629
0.2371 0.5413 0.2790
0.2629 0.2210 0.9587
0.2790 0.2371 0.5413
0.2956 0.8861 0.0917
0.3861 0.7956 0.5917
0.4083 0.6139 0.2044
0.4587 0.7210 0.7629
0.5413 0.2790 0.2371
0.5917 0.3861 0.7956
0.6139 0.2044 0.4083
0.7044 0.1139 0.9083
0.7210 0.7629 0.4587
0.7371 0.7790 0.0413
0.7629 0.4587 0.7210
0.7790 0.0413 0.7371
0.7956 0.5917 0.3861
0.8861 0.0917 0.2956
0.9083 0.7044 0.1139
0.9587 0.2629 0.2210
0.0221 0.4779 0.7500
0.2500 0.9779 0.5221
0.4779 0.7500 0.0221
0.5221 0.2500 0.9779
0.7500 0.0221 0.4779
0.9779 0.5221 0.2500
0.0504 0.8639 0.7913
0.1361 0.2087 0.9496
0.2087 0.9496 0.1361
0.2913 0.3639 0.5504
0.3639 0.5504 0.2913
0.4496 0.7087 0.6361
0.5504 0.2913 0.3639
0.6361 0.4496 0.7087
0.7087 0.6361 0.4496
0.7913 0.0504 0.8639
0.8639 0.7913 0.0504
0.9496 0.1361 0.2087
```

Top 6 peaks for 2θ = 5–70°, by intensity:
2θ 26.94, d 3.310, I 100; 2θ 14.58, d 6.074, I 32; 2θ 43.50, d 2.081, I 28; 2θ 17.15, d 5.169, I 27; 2θ 25.40, d 3.507, I 25; 2θ 22.59, d 3.937, I 24

=====

3.
Starting from the PBE+U geometry in the Materials Project, the PXRD pattern of V3As2O9 was simulated for λ = 1.5418 Å (Cu Kα).

Structural model:
```
V3As2O9
1.0
9.0722 0.0000 0.0000
0.0000 9.0722 0.0000
0.0000 0.0000 4.7854
V As O
6 4 18
direct
0.0000 0.0000 0.0000
0.1168 0.3832 0.9251
0.3832 0.8832 0.9251
0.5000 0.5000 0.0000
0.6168 0.1168 0.9251
0.8832 0.6168 0.9251
0.2000 0.7000 0.2787
0.3000 0.2000 0.2787
0.7000 0.8000 0.2787
0.8000 0.3000 0.2787
0.0000 0.0000 0.6600
0.0969 0.5969 0.0109
0.1202 0.1821 0.0997
0.1292 0.3708 0.5821
0.1821 0.8798 0.0997
0.3179 0.3798 0.0997
0.3708 0.8708 0.5821
0.3798 0.6821 0.0997
0.4031 0.0969 0.0109
0.5000 0.5000 0.6600
0.5969 0.9031 0.0109
0.6202 0.3179 0.0997
0.6292 0.1292 0.5821
0.6821 0.6202 0.0997
0.8179 0.1202 0.0997
0.8708 0.6292 0.5821
0.8798 0.8179 0.0997
0.9031 0.4031 0.0109
```

Top 6 peaks for 2θ = 5–70°, by intensity:
2θ 28.85, d 3.095, I 100; 2θ 27.09, d 3.292, I 99; 2θ 18.54, d 4.785, I 95; 2θ 31.18, d 2.869, I 49; 2θ 27.81, d 3.208, I 48; 2θ 45.37, d 1.999, I 36

=====

4.
Starting from the PBE+U geometry in the Materials Project, the PXRD pattern of Li2TiMn3O8 was simulated for λ = 1.5418 Å (Cu Kα).

Structural model:
```
Li2TiMn3O8
1.0
2.9034 -5.2616 0.0000
2.9034 5.2616 0.0000
0.0000 0.0000 9.5397
Li Ti Mn O
4 2 6 16
direct
0.0065 0.9935 0.5000
0.3440 0.6560 0.4034
0.6560 0.3440 0.9034
0.9935 0.0065 0.0000
0.3188 0.6812 0.9997
0.6812 0.3188 0.4997
0.1705 0.3382 0.7221
0.1728 0.8272 0.7205
0.3382 0.1705 0.2221
0.6618 0.8295 0.7221
0.8272 0.1728 0.2205
0.8295 0.6618 0.2221
0.0075 0.9925 0.8097
0.0293 0.5436 0.8501
0.1418 0.3491 0.0944
0.1552 0.8448 0.1054
0.3320 0.6680 0.6191
0.3491 0.1418 0.5944
0.4564 0.9707 0.8501
0.4715 0.5285 0.8486
0.5285 0.4715 0.3486
0.5436 0.0293 0.3501
0.6509 0.8582 0.0944
0.6680 0.3320 0.1191
0.8448 0.1552 0.6054
0.8582 0.6509 0.5944
0.9707 0.4564 0.3501
0.9925 0.0075 0.3097
```

Top 6 peaks for 2θ = 5–70°, by intensity:
2θ 19.79, d 4.487, I 100; 2θ 18.60, d 4.770, I 96; 2θ 35.35, d 2.539, I 95; 2θ 45.69, d 1.986, I 63; 2θ 36.58, d 2.456, I 42; 2θ 60.69, d 1.526, I 41

=====

5.
Starting from the PBE+U geometry in the Materials Project, the PXRD pattern of MgMn5NiO12 was simulated for λ = 1.5418 Å (Cu Kα).

Structural model:
```
MgMn5NiO12
1.0
5.0309 0.0000 0.0000
-2.5113 4.4400 0.0000
-0.5418 -1.2011 9.9560
Mg Mn Ni O
1 5 1 12
direct
0.0000 0.0000 0.0000
0.1197 0.0547 0.2730
0.2958 0.9563 0.7509
0.4542 0.7226 0.2548
0.7822 0.3842 0.2567
0.9648 0.2877 0.7513
0.6289 0.6210 0.7515
0.0937 0.3425 0.1570
0.1462 0.7425 0.3550
0.2767 0.5958 0.6601
0.2856 0.2781 0.8635
0.4098 0.0226 0.1574
0.4796 0.4241 0.3546
0.6071 0.2667 0.6602
0.6633 0.9757 0.8536
0.7768 0.7387 0.1488
0.7970 0.0452 0.3630
0.9653 0.9557 0.6521
0.9813 0.6593 0.8535
```

Top 6 peaks for 2θ = 5–70°, by intensity:
2θ 17.82, d 4.978, I 100; 2θ 63.83, d 1.458, I 10; 2θ 37.73, d 2.384, I 9; 2θ 35.47, d 2.531, I 8; 2θ 46.51, d 1.953, I 8; 2θ 36.41, d 2.467, I 8

=====

6.
Starting from the PBE+U geometry in the Materials Project, the PXRD pattern of ZnCr3S6O24 was simulated for λ = 1.5418 Å (Cu Kα).

Structural model:
```
ZnCr3S6O24
1.0
4.1587 2.4010 7.4697
-4.1587 2.4010 7.4697
0.0000 -4.8021 7.4697
Zn Cr S O
1 3 6 24
direct
0.0000 0.0000 0.0000
0.2066 0.2066 0.2066
0.4957 0.4957 0.4957
0.7007 0.7007 0.7007
0.1050 0.8082 0.3899
0.3171 0.5971 0.8901
0.3899 0.1050 0.8082
0.5971 0.8901 0.3171
0.8082 0.3899 0.1050
0.8901 0.3171 0.5971
0.0869 0.2340 0.4650
0.1397 0.8191 0.2021
0.1492 0.9597 0.3670
0.1841 0.7999 0.8597
0.2021 0.1397 0.8191
0.2340 0.4650 0.0869
0.2340 0.6117 0.4810
0.3460 0.5410 0.7439
0.3670 0.1492 0.9597
0.4650 0.0869 0.2340
0.4810 0.2340 0.6117
0.5088 0.5652 0.8749
0.5265 0.8999 0.8329
0.5410 0.7439 0.3460
0.5652 0.8749 0.5088
0.6117 0.4810 0.2340
0.7439 0.3460 0.5410
0.7999 0.8597 0.1841
0.8191 0.2021 0.1397
0.8329 0.5265 0.8999
0.8597 0.1841 0.7999
0.8749 0.5088 0.5652
0.8999 0.8329 0.5265
0.9597 0.3670 0.1492
```

Top 6 peaks for 2θ = 5–70°, by intensity:
2θ 24.50, d 3.634, I 100; 2θ 14.62, d 6.059, I 55; 2θ 32.21, d 2.779, I 51; 2θ 20.08, d 4.422, I 50; 2θ 29.48, d 3.030, I 41; 2θ 52.92, d 1.730, I 18

=====

7.
Starting from the PBE+U geometry in the Materials Project, the PXRD pattern of Zn2Mo3O8 was simulated for λ = 1.5418 Å (Cu Kα).

Structural model:
```
Zn2Mo3O8
1.0
6.2873 0.0000 0.0000
-3.1436 5.4450 0.0000
0.0000 0.0000 9.5577
Zn Mo O
4 6 16
direct
0.3333 0.6667 0.0000
0.3333 0.6667 0.3826
0.6667 0.3333 0.5000
0.6667 0.3333 0.8826
0.1640 0.3280 0.6735
0.1640 0.8360 0.6735
0.3280 0.1640 0.1735
0.6720 0.8360 0.6735
0.8360 0.1640 0.1735
0.8360 0.6720 0.1735
0.0000 0.0000 0.0616
0.0000 0.0000 0.5616
0.0365 0.5183 0.5488
0.1670 0.3340 0.2697
0.1670 0.8330 0.2697
0.3333 0.6667 0.7907
0.3340 0.1670 0.7697
0.4817 0.5183 0.5488
0.4817 0.9635 0.5488
0.5183 0.0365 0.0488
0.5183 0.4817 0.0488
0.6660 0.8330 0.2697
0.6667 0.3333 0.2907
0.8330 0.1670 0.7697
0.8330 0.6660 0.7697
0.9635 0.4817 0.0488
```

Top 6 peaks for 2θ = 5–70°, by intensity:
2θ 34.25, d 2.618, I 100; 2θ 34.14, d 2.626, I 65; 2θ 18.57, d 4.779, I 58; 2θ 32.56, d 2.750, I 56; 2θ 59.05, d 1.564, I 50; 2θ 24.79, d 3.592, I 45